[1]
The following is a computed X-ray diffraction stick pattern of TbMn2Ge2. It was derived from DFT lattice parameters and positions (GGA-PBE), using Cu Ka.

Structural model:
```
data_TbMn2Ge2
_chemical_formula_sum 'Tb2 Mn4 Ge4'
_symmetry_space_group_name_H-M 'I 4/m m m'
_symmetry_Int_Tables_number 139
_symmetry_space_group_name_Hall '-I 4 2'
_cell_length_a 3.948
_cell_length_b 3.948
_cell_length_c 10.872
_cell_angle_alpha 90.00
_cell_angle_beta 90.00
_cell_angle_gamma 90.00
loop_
_atom_site_label
_atom_site_type_symbol
_atom_site_fract_x
_atom_site_fract_y
_atom_site_fract_z
Tb1 Tb 0.000 0.000 0.000
Mn1 Mn 0.000 0.500 0.250
Ge1 Ge 0.000 0.000 0.380
```

The 10 most intense peaks (5° ≤ 2θ ≤ 70°), by angle:
d [Å], I_rel
3.711, 8
2.792, 34
2.670, 100
2.483, 100
1.974, 57
1.905, 46
1.587, 41
1.520, 15
1.396, 18
1.371, 31

---

[2]
The following is a computed X-ray diffraction stick pattern of KSnN. It was derived from DFT lattice parameters and positions (GGA-PBE), using Cu Ka.

Structural model:
```
data_KSnN
_chemical_formula_sum 'K2 Sn2 N2'
_symmetry_space_group_name_H-M 'P 63 m c'
_symmetry_Int_Tables_number 186
_symmetry_space_group_name_Hall 'P 6c -2c'
_cell_length_a 3.4622
_cell_length_b 3.4622
_cell_length_c 12.2397
_cell_angle_alpha 90.00
_cell_angle_beta 90.00
_cell_angle_gamma 120.00
loop_
_atom_site_label
_atom_site_type_symbol
_atom_site_fract_x
_atom_site_fract_y
_atom_site_fract_z
K1 K 0.3333 0.6667 0.0000
Sn1 Sn 0.0000 0.0000 0.2566
N1 N 0.3333 0.6667 0.3429
```

The 10 most intense peaks (5° ≤ 2θ ≤ 70°), by angle:
d [Å], I_rel
6.120, 48
3.060, 29
2.998, 30
2.693, 100
2.142, 31
1.731, 21
1.687, 28
1.666, 11
1.507, 21
1.456, 16